Starting from the GGA+U geometry in the Materials Project, the X-ray diffraction stick pattern of Li2V3NiO8 was computed for Cu Kα.

Atomic structure:
Cell lengths 12.124, 4.017, 6.472 Å; angles 90.00, 106.75, 90.00 degrees
Space group Cm (No. 8)
Unique sites:
Li (0.000, 0.000, 0.000) x2
Li (0.121, 0.000, 0.703) x2
V (0.169, 0.500, 0.045) x2
V (0.272, 0.500, 0.635) x2
V (0.450, 0.000, 0.618) x2
Ni (0.348, 0.000, 0.034) x2
O (0.014, 0.500, 0.992) x2
O (0.121, 0.500, 0.703) x2
O (0.175, 0.000, 0.024) x2
O (0.217, 0.500, 0.358) x2
O (0.297, 0.000, 0.686) x2
O (0.320, 0.500, 0.984) x2
O (0.416, 0.000, 0.349) x2
O (0.440, 0.500, 0.672) x2

Most intense lines, 2θ from 15° to 90°, sorted by position:
- 15.26 deg, I = 76, hkl 2 0 0
- 23.43 deg, I = 100, hkl 1 1 0
- 28.81 deg, I = 73, hkl 0 0 2
- 30.00 deg, I = 37, hkl 4 0 -1
- 32.12 deg, I = 39, hkl 3 1 0
- 32.37 deg, I = 43, hkl 3 1 -1
- 43.82 deg, I = 50, hkl 0 0 3
- 44.87 deg, I = 60, hkl 6 0 -1
- 45.14 deg, I = 67, hkl 0 2 0
- 65.54 deg, I = 32, hkl 6 2 -1


Starting from the GGA+U geometry in the Materials Project, the X-ray diffraction stick pattern of CoP2O7 was computed for Cu Kα.

Atomic structure:
Cell lengths 4.947, 8.142, 7.068 Å; angles 90.00, 108.91, 90.00 degrees
Space group P2_1 (No. 4)
Unique sites:
Co (0.212, 0.000, 0.221) x2
P (0.228, 0.272, 0.589) x2
P (0.392, 0.675, 0.019) x2
O (0.026, 0.830, 0.353) x2
O (0.143, 0.180, 0.393) x2
O (0.162, 0.541, 0.974) x2
O (0.266, 0.846, 0.019) x2
O (0.405, 0.139, 0.754) x2
O (0.424, 0.420, 0.592) x2
O (0.434, 0.166, 0.123) x2

Most intense lines, 2θ from 15° to 90°, sorted by position:
- 17.16 deg, I = 100, hkl 0 1 1
- 21.90 deg, I = 27, hkl 1 1 0
- 22.21 deg, I = 38, hkl 1 1 -1
- 25.62 deg, I = 15, hkl 0 2 1
- 26.55 deg, I = 15, hkl 1 0 1
- 28.77 deg, I = 19, hkl 1 1 1
- 29.30 deg, I = 47, hkl 1 2 -1
- 29.46 deg, I = 24, hkl 1 1 -2
- 34.70 deg, I = 15, hkl 0 2 2
- 43.34 deg, I = 10, hkl 1 3 -2


Starting from the GGA+U geometry in the Materials Project, the X-ray diffraction stick pattern of Li4Nb3Fe3Sb2O16 was computed for Cu Kα.

Atomic structure:
Cell lengths 10.731, 6.123, 10.554 Å; angles 90.00, 90.86, 90.00 degrees
Space group Cm (No. 8)
Unique sites:
Li (0.000, 0.000, 0.000) x2
Li (0.001, 0.000, 0.486) x2
Li (0.166, 0.500, 0.100) x2
Li (0.333, 0.000, 0.587) x2
Nb (0.091, 0.252, 0.769) x4
Nb (0.176, 0.000, 0.258) x2
Fe (0.335, 0.500, 0.781) x2
Fe (0.421, 0.236, 0.276) x4
Sb (0.178, 0.500, 0.469) x2
Sb (0.357, 0.000, 0.995) x2
O (0.005, 0.000, 0.670) x2
O (0.007, 0.000, 0.179) x2
O (0.010, 0.500, 0.670) x2
O (0.083, 0.241, 0.382) x4
O (0.147, 0.000, 0.882) x2
O (0.158, 0.500, 0.883) x2
O (0.242, 0.256, 0.673) x4
O (0.252, 0.230, 0.162) x4
O (0.323, 0.000, 0.384) x2
O (0.346, 0.500, 0.380) x2
O (0.432, 0.265, 0.890) x4
O (0.484, 0.000, 0.146) x2

Most intense lines, 2θ from 15° to 90°, sorted by position:
- 16.80 deg, I = 74, hkl 0 0 2
- 18.65 deg, I = 100, hkl 2 0 1
- 18.74 deg, I = 59, hkl 1 1 1
- 23.84 deg, I = 46, hkl 1 1 2
- 30.36 deg, I = 51, hkl 1 1 -3
- 33.42 deg, I = 50, hkl 3 1 -2
- 33.83 deg, I = 76, hkl 0 2 2
- 34.73 deg, I = 41, hkl 2 2 -1
- 42.76 deg, I = 37, hkl 2 2 3
- 55.82 deg, I = 40, hkl 2 2 5


Starting from the GGA+U geometry in the Materials Project, the X-ray diffraction stick pattern of MgCo4Ag4O8 was computed for Cu Kα.

Atomic structure:
Cell lengths 5.319, 3.031, 26.710 Å; angles 90.00, 91.17, 90.00 degrees
Space group Cm (No. 8)
Unique sites:
Mg (0.000, 0.000, 0.000) x2
Co (0.171, 0.500, 0.321) x2
Co (0.171, 0.500, 0.553) x2
Co (0.334, 0.000, 0.094) x2
Co (0.337, 0.000, 0.787) x2
Ag (0.003, 0.000, 0.670) x2
Ag (0.011, 0.000, 0.205) x2
Ag (0.166, 0.500, 0.908) x2
Ag (0.334, 0.000, 0.437) x2
O (0.003, 0.000, 0.591) x2
O (0.003, 0.000, 0.749) x2
O (0.005, 0.000, 0.126) x2
O (0.020, 0.000, 0.284) x2
O (0.168, 0.500, 0.824) x2
O (0.172, 0.500, 0.033) x2
O (0.322, 0.000, 0.358) x2
O (0.338, 0.000, 0.515) x2

Most intense lines, 2θ from 15° to 90°, sorted by position:
- 26.71 deg, I = 47, hkl 0 0 8
- 30.12 deg, I = 75, hkl 0 0 9
- 34.24 deg, I = 39, hkl 2 0 -2
- 34.66 deg, I = 40, hkl 1 1 -2
- 34.79 deg, I = 53, hkl 1 1 2
- 35.44 deg, I = 100, hkl 2 0 3
- 35.65 deg, I = 29, hkl 1 1 3
- 36.58 deg, I = 34, hkl 2 0 4
- 39.96 deg, I = 40, hkl 1 1 6
- 60.50 deg, I = 48, hkl 3 1 0


Starting from the GGA+U geometry in the Materials Project, the X-ray diffraction stick pattern of Li3MnP2O8 was computed for Cu Kα.

Atomic structure:
Cell lengths 8.9895, 8.9895, 20.0072 Å; angles 90.00, 90.00, 120.00 degrees
Space group R3 (No. 146, hexagonal axes)
Unique sites:
Li (0.0000, 0.0000, 0.0000) x3
Li (0.0000, 0.0000, 0.1421) x3
Li (0.0000, 0.0000, 0.4886) x3
Li (0.0415, 0.4298, 0.7478) x9
Li (0.0687, 0.7346, 0.5723) x9
Mn (0.0000, 0.0000, 0.3451) x3
Mn (0.0000, 0.0000, 0.6360) x3
Mn (0.0000, 0.0000, 0.8468) x3
P (0.0311, 0.3636, 0.9063) x9
P (0.0342, 0.6677, 0.4070) x9
O (0.0010, 0.1765, 0.9149) x9
O (0.0031, 0.2140, 0.1760) x9
O (0.0060, 0.8244, 0.4141) x9
O (0.1291, 0.4558, 0.9702) x9
O (0.1322, 0.6736, 0.4717) x9
O (0.1384, 0.6760, 0.3437) x9
O (0.1611, 0.4909, 0.2350) x9
O (0.1626, 0.6870, 0.7321) x9

Most intense lines, 2θ from 15° to 90°, sorted by position:
- 21.11 deg, I = 33, hkl 1 0 4
- 23.87 deg, I = 100, hkl 1 1 3
- 29.07 deg, I = 14, hkl 0 2 4
- 30.71 deg, I = 21, hkl 2 1 1
- 33.46 deg, I = 27, hkl 1 1 6
- 34.56 deg, I = 20, hkl 3 0 0
- 47.73 deg, I = 11, hkl 1 2 8
- 48.87 deg, I = 12, hkl 2 2 6
- 53.97 deg, I = 11, hkl 1 4 0
- 61.23 deg, I = 10, hkl 4 1 6


Starting from the GGA+U geometry in the Materials Project, the X-ray diffraction stick pattern of Li4Ti3Co3O12 was computed for Cu Kα.

Atomic structure:
Cell lengths 6.071, 7.932, 9.801 Å; angles 82.82, 82.20, 77.72 degrees
Space group P1 (No. 1)
Unique sites:
Li (0.000, 0.000, 0.000) x1
Li (0.002, 0.750, 0.249) x1
Li (0.004, 0.501, 0.497) x1
Li (0.012, 0.254, 0.746) x1
Li (0.320, 0.434, 0.233) x1
Li (0.327, 0.938, 0.730) x1
Li (0.678, 0.065, 0.270) x1
Li (0.683, 0.571, 0.763) x1
Ti (0.188, 0.087, 0.255) x1
Ti (0.191, 0.587, 0.755) x1
Ti (0.506, 0.746, 0.251) x1
Ti (0.515, 0.248, 0.756) x1
Ti (0.818, 0.405, 0.241) x1
Ti (0.823, 0.906, 0.742) x1
Co (0.165, 0.334, 0.999) x1
Co (0.167, 0.834, 0.498) x1
Co (0.500, 0.000, 0.000) x1
Co (0.500, 0.500, 0.500) x1
Co (0.838, 0.170, 0.501) x1
Co (0.838, 0.670, 0.000) x1
O (0.043, 0.534, 0.125) x1
O (0.047, 0.036, 0.625) x1
O (0.064, 0.293, 0.363) x1
O (0.065, 0.794, 0.864) x1
O (0.259, 0.893, 0.139) x1
O (0.262, 0.396, 0.639) x1
O (0.265, 0.640, 0.369) x1
O (0.269, 0.142, 0.869) x1
O (0.375, 0.216, 0.126) x1
O (0.377, 0.718, 0.626) x1
O (0.411, 0.950, 0.362) x1
O (0.415, 0.453, 0.862) x1
O (0.588, 0.551, 0.139) x1
O (0.593, 0.054, 0.640) x1
O (0.624, 0.286, 0.374) x1
O (0.625, 0.789, 0.874) x1
O (0.734, 0.862, 0.132) x1
O (0.737, 0.364, 0.632) x1
O (0.738, 0.610, 0.362) x1
O (0.742, 0.111, 0.864) x1
O (0.933, 0.210, 0.134) x1
O (0.934, 0.711, 0.635) x1
O (0.957, 0.969, 0.375) x1
O (0.959, 0.470, 0.874) x1

Most intense lines, 2θ from 15° to 90°, sorted by position:
- 17.95 deg, I = 100, hkl 1 1 1
- 35.11 deg, I = 12, hkl 1 1 -3
- 35.18 deg, I = 14, hkl -1 2 2
- 35.82 deg, I = 11, hkl 1 -2 2
- 42.06 deg, I = 23, hkl 2 2 -2
- 42.77 deg, I = 22, hkl 0 3 3
- 43.41 deg, I = 20, hkl 2 -1 3
- 61.78 deg, I = 6, hkl -2 1 5
- 62.58 deg, I = 11, hkl 2 -4 0
- 62.98 deg, I = 6, hkl 0 3 -5